No. 1
Starting from DFT lattice parameters and positions (PBE), the powder XRD pattern of GdPdPtAu was simulated for Cu Kα (weighted mean of Kα1 and Kα2).
Intensities are scaled so that the largest is 100.

Principal peaks in the range 2θ from 5° to 70°, most intense first:
d [Å]	I/Imax
2.380	100
1.374	36
1.683	17
3.887	5
2.030	3
1.544	1
3.366	1

Structure:
a b c (Å): 6.732 6.732 6.732
angles (deg): 90.00 90.00 90.00
Fractional coordinates of all 16 atoms:
Gd1 0.000 0.000 0.000
Gd2 0.000 0.500 0.500
Gd3 0.500 0.000 0.500
Gd4 0.500 0.500 0.000
Pd1 0.250 0.250 0.750
Pd2 0.250 0.750 0.250
Pd3 0.750 0.250 0.250
Pd4 0.750 0.750 0.750
Pt1 0.250 0.250 0.250
Pt2 0.250 0.750 0.750
Pt3 0.750 0.250 0.750
Pt4 0.750 0.750 0.250
Au1 0.000 0.000 0.500
Au2 0.000 0.500 0.000
Au3 0.500 0.000 0.000
Au4 0.500 0.500 0.500

No. 2
Starting from DFT lattice parameters and positions (PBE), the powder XRD pattern of Na4MgNp3S8 was simulated for Cu Kα (weighted mean of Kα1 and Kα2).
Intensities are scaled so that the largest is 100.

Principal peaks in the range 2θ from 5° to 70°, most intense first:
d [Å]	I/Imax
2.829	100
6.648	96
3.385	49
3.248	36
2.018	36
1.983	36
1.900	27
6.496	24
2.193	22
2.603	21
5.658	19
1.624	18

Structure:
a b c (Å): 8.073 8.073 8.073
angles (deg): 58.86 58.86 58.86
Fractional coordinates of all 16 atoms:
Na1 0.000 0.000 0.000
Na2 0.000 0.500 0.500
Na3 0.500 0.000 0.500
Na4 0.500 0.500 0.000
Mg1 0.500 0.500 0.500
Np1 0.000 0.000 0.500
Np2 0.000 0.500 0.000
Np3 0.500 0.000 0.000
S1 0.242 0.242 0.242
S2 0.246 0.738 0.738
S3 0.262 0.262 0.754
S4 0.262 0.754 0.262
S5 0.738 0.246 0.738
S6 0.738 0.738 0.246
S7 0.754 0.262 0.262
S8 0.758 0.758 0.758

No. 3
Starting from DFT lattice parameters and positions (PBE), the powder XRD pattern of CrH3Pd2 was simulated for Cu Kα (weighted mean of Kα1 and Kα2).
Intensities are scaled so that the largest is 100.

Principal peaks in the range 2θ from 5° to 70°, most intense first:
d [Å]	I/Imax
2.385	100
2.106	18
2.060	17
2.032	16
1.472	11
1.447	10
2.863	9
6.097	6
1.465	5
1.460	5
3.049	4
1.707	2

Structure:
a b c (Å): 4.211 4.120 6.444
angles (deg): 90.00 108.87 90.00
Fractional coordinates of all 12 atoms:
Cr1 0.000 0.000 0.000
Cr2 0.500 0.500 0.000
H1 0.126 0.000 0.339
H2 0.285 0.500 0.662
H3 0.494 0.000 0.000
H4 0.626 0.500 0.339
H5 0.785 0.000 0.662
H6 0.994 0.500 0.000
Pd1 0.168 0.500 0.323
Pd2 0.345 0.000 0.677
Pd3 0.668 0.000 0.323
Pd4 0.845 0.500 0.677

No. 4
Starting from DFT lattice parameters and positions (PBE), the powder XRD pattern of Co2Ni7 was simulated for Cu Kα (weighted mean of Kα1 and Kα2).
Intensities are scaled so that the largest is 100.

Principal peaks in the range 2θ from 5° to 70°, most intense first:
d [Å]	I/Imax
2.030	100
1.758	46

Structure:
a b c (Å): 4.304 4.304 6.094
angles (deg): 90.00 90.00 120.00
Fractional coordinates of all 9 atoms:
Co1 0.333 0.667 0.000
Co2 0.667 0.333 0.000
Ni1 0.000 0.000 0.000
Ni2 0.000 0.335 0.668
Ni3 0.000 0.665 0.332
Ni4 0.335 0.000 0.668
Ni5 0.335 0.335 0.332
Ni6 0.665 0.000 0.332
Ni7 0.665 0.665 0.668

No. 5
Starting from DFT lattice parameters and positions (PBE), the powder XRD pattern of LiTbHf2N4 was simulated for Cu Kα (weighted mean of Kα1 and Kα2).
Intensities are scaled so that the largest is 100.

Principal peaks in the range 2θ from 5° to 70°, most intense first:
d [Å]	I/Imax
3.010	100
2.699	56
2.192	39
2.656	36
2.984	30
2.337	29
1.790	29
1.427	22
1.616	19
1.691	17
2.391	16
1.594	15

Structure:
a b c (Å): 5.555 5.555 10.960
angles (deg): 90.00 90.00 146.06
Fractional coordinates of all 16 atoms:
Li1 0.157 0.843 0.750
Li2 0.843 0.157 0.250
Tb1 0.107 0.893 0.250
Tb2 0.893 0.107 0.750
Hf1 0.367 0.633 0.058
Hf2 0.367 0.633 0.442
Hf3 0.633 0.367 0.558
Hf4 0.633 0.367 0.942
N1 0.000 0.000 0.000
N2 0.000 0.000 0.500
N3 0.264 0.736 0.612
N4 0.264 0.736 0.888
N5 0.446 0.554 0.250
N6 0.554 0.446 0.750
N7 0.736 0.264 0.112
N8 0.736 0.264 0.388

No. 6
Starting from DFT lattice parameters and positions (PBE), the powder XRD pattern of Tl3H was simulated for Cu Kα (weighted mean of Kα1 and Kα2).
Intensities are scaled so that the largest is 100.

Principal peaks in the range 2θ from 5° to 70°, most intense first:
d [Å]	I/Imax
3.019	100
2.562	96
3.280	47
2.707	42
1.523	28
2.088	28
1.842	26
1.494	25
1.533	20
1.616	16
1.451	13
2.903	12

Structure:
a b c (Å): 3.439 10.910 5.413
angles (deg): 90.00 90.00 90.00
Fractional coordinates of all 8 atoms:
Tl1 0.000 0.000 0.000
Tl2 0.000 0.189 0.515
Tl3 0.000 0.811 0.515
Tl4 0.500 0.311 0.015
Tl5 0.500 0.500 0.500
Tl6 0.500 0.689 0.015
H1 0.000 0.500 0.753
H2 0.500 0.000 0.253

No. 7
Starting from DFT lattice parameters and positions (PBE), the powder XRD pattern of NdTm5 was simulated for Cu Kα (weighted mean of Kα1 and Kα2).
Intensities are scaled so that the largest is 100.

Principal peaks in the range 2θ from 5° to 70°, most intense first:
d [Å]	I/Imax
2.872	100
2.487	51
1.759	30
1.499	28
1.501	14
1.437	6
1.435	6
1.756	6

Structure:
a b c (Å): 6.094 10.539 6.095
angles (deg): 90.00 109.38 90.00
Fractional coordinates of all 12 atoms:
Nd1 0.250 0.250 0.001
Nd2 0.750 0.750 0.999
Tm1 0.250 0.083 0.500
Tm2 0.250 0.417 0.500
Tm3 0.250 0.583 0.000
Tm4 0.250 0.750 0.500
Tm5 0.250 0.917 0.000
Tm6 0.750 0.083 0.000
Tm7 0.750 0.250 0.500
Tm8 0.750 0.417 0.000
Tm9 0.750 0.583 0.500
Tm10 0.750 0.917 0.500

No. 8
Starting from DFT lattice parameters and positions (PBE), the powder XRD pattern of Ca4PPd2 was simulated for Cu Kα (weighted mean of Kα1 and Kα2).
Intensities are scaled so that the largest is 100.

Principal peaks in the range 2θ from 5° to 70°, most intense first:
d [Å]	I/Imax
2.749	100
2.483	94
3.888	89
1.843	74
5.114	72
2.592	41
6.957	40
1.944	35
2.421	22
1.531	20
1.739	18
1.992	17

Structure:
a b c (Å): 5.498 5.498 13.914
angles (deg): 90.00 90.00 90.00
Fractional coordinates of all 14 atoms:
Ca1 0.000 0.000 0.198
Ca2 0.000 0.000 0.802
Ca3 0.000 0.500 0.000
Ca4 0.000 0.500 0.500
Ca5 0.500 0.000 0.000
Ca6 0.500 0.000 0.500
Ca7 0.500 0.500 0.302
Ca8 0.500 0.500 0.698
P1 0.000 0.000 0.000
P2 0.500 0.500 0.500
Pd1 0.000 0.000 0.400
Pd2 0.000 0.000 0.600
Pd3 0.500 0.500 0.100
Pd4 0.500 0.500 0.900

No. 9
Starting from DFT lattice parameters and positions (PBE), the powder XRD pattern of La4Pr4Sm was simulated for Cu Kα (weighted mean of Kα1 and Kα2).
Intensities are scaled so that the largest is 100.

Principal peaks in the range 2θ from 5° to 70°, most intense first:
d [Å]	I/Imax
3.033	100
2.627	51
1.858	36
1.585	22
1.583	22
1.517	9
1.516	3

Structure:
a b c (Å): 3.715 6.435 14.381
angles (deg): 90.00 82.58 73.34
Fractional coordinates of all 9 atoms:
La1 0.166 0.222 0.444
La2 0.166 0.888 0.780
La3 0.834 0.112 0.220
La4 0.834 0.778 0.556
Pr1 0.167 0.558 0.109
Pr2 0.499 0.333 0.668
Pr3 0.501 0.667 0.332
Pr4 0.833 0.442 0.891
Sm1 0.500 0.000 0.000

No. 10
Starting from DFT lattice parameters and positions (PBE), the powder XRD pattern of Li3Zr3Se8 was simulated for Cu Kα (weighted mean of Kα1 and Kα2).
Intensities are scaled so that the largest is 100.

Principal peaks in the range 2θ from 5° to 70°, most intense first:
d [Å]	I/Imax
2.795	100
6.634	38
2.003	38
1.950	36
3.199	21
1.599	17
6.398	15
3.330	13
1.397	11
2.175	11
1.871	8
3.317	8

Structure:
a b c (Å): 8.019 8.019 8.019
angles (deg): 58.21 58.21 58.21
Fractional coordinates of all 14 atoms:
Li1 0.000 0.000 0.000
Li2 0.378 0.378 0.378
Li3 0.622 0.622 0.622
Zr1 0.000 0.000 0.500
Zr2 0.000 0.500 0.000
Zr3 0.500 0.000 0.000
Se1 0.227 0.753 0.753
Se2 0.246 0.246 0.246
Se3 0.247 0.247 0.773
Se4 0.247 0.773 0.247
Se5 0.753 0.227 0.753
Se6 0.753 0.753 0.227
Se7 0.754 0.754 0.754
Se8 0.773 0.247 0.247

No. 11
Starting from DFT lattice parameters and positions (PBE), the powder XRD pattern of U4TcRu was simulated for Cu Kα (weighted mean of Kα1 and Kα2).
Intensities are scaled so that the largest is 100.

Principal peaks in the range 2θ from 5° to 70°, most intense first:
d [Å]	I/Imax
2.338	100
2.347	68
1.815	38
1.656	22
2.879	22
4.049	21
1.349	20
1.352	19
1.440	6
2.703	5
2.025	4
1.868	4

Structure:
a b c (Å): 4.669 5.759 8.109
angles (deg): 90.00 90.00 90.00
Fractional coordinates of all 12 atoms:
U1 0.000 0.227 0.000
U2 0.000 0.272 0.335
U3 0.000 0.728 0.335
U4 0.000 0.773 0.000
U5 0.500 0.228 0.835
U6 0.500 0.273 0.500
U7 0.500 0.727 0.500
U8 0.500 0.772 0.835
Tc1 0.000 0.500 0.692
Tc2 0.500 0.000 0.192
Ru1 0.000 0.000 0.639
Ru2 0.500 0.500 0.139